Starting from DFT lattice parameters and positions (GGA-PBE), the X-ray diffraction stick pattern of Ca3HN was simulated for Cu Kα X-rays.
Neutral-atom scattering factors, no anomalous dispersion.

Crystal structure
```
data_Ca3HN
_cell_length_a 6.1711
_cell_length_b 3.6512
_cell_length_c 10.0122
_cell_angle_alpha 90.00
_cell_angle_beta 91.38
_cell_angle_gamma 90.00
_space_group_name_H-M_alt 'P 1 21/m 1'
_space_group_IT_number 11
loop_
_space_group_symop_operation_xyz
'x,y,z'
'-x,-y,-z'
'-x,y+1/2,-z'
'x,-y+1/2,z'
loop_
_atom_site_label
_atom_site_fract_x
_atom_site_fract_y
_atom_site_fract_z
_atom_site_occupancy
Ca1 0.1981 0.2500 0.0639 1
Ca2 0.2091 0.7500 0.3568 1
Ca3 0.2447 0.7500 0.7601 1
H1 0.3801 0.2500 0.2741 1
N1 0.0222 0.2500 0.8368 1
```

Principal peaks in the range 10 to 90 degrees two-theta, low angle first:
two_theta	d (Å)	intensity	hkl
14.36	6.169	85	1 0 0
28.95	3.085	92	2 0 0
29.70	3.008	100	1 1 -1
30.14	2.965	78	1 0 -3
30.30	2.950	68	0 1 2
30.77	2.906	73	1 0 3
33.87	2.647	89	1 1 2
39.14	2.302	79	1 0 4
42.08	2.147	65	2 1 -2
52.10	1.756	59	0 1 5



Starting from DFT lattice parameters and positions (GGA-PBE), the X-ray diffraction stick pattern of Ca5NbH2N4 was simulated for Cu Kα X-rays.
Neutral-atom scattering factors, no anomalous dispersion.

Crystal structure
```
data_Ca5NbH2N4
_cell_length_a 7.0101
_cell_length_b 9.6994
_cell_length_c 5.8268
_cell_angle_alpha 90.00
_cell_angle_beta 90.00
_cell_angle_gamma 90.00
_space_group_name_H-M_alt 'A m m 2'
_space_group_IT_number 38
loop_
_space_group_symop_operation_xyz
'x,y,z'
'-x,-y,z'
'-x,y,z'
'x,-y,z'
'x,y+1/2,z+1/2'
'-x,-y+1/2,z+1/2'
'-x,y+1/2,z+1/2'
'x,-y+1/2,z+1/2'
loop_
_atom_site_label
_atom_site_fract_x
_atom_site_fract_y
_atom_site_fract_z
_atom_site_occupancy
Ca1 0.0000 0.0000 0.0000 1
Ca2 0.2715 0.1763 0.4895 1
Nb1 0.5000 0.0000 0.0004 1
H1 0.0000 0.2212 0.7895 1
N1 0.2763 0.0000 0.2054 1
N2 0.5000 0.1675 0.8018 1
```

Principal peaks in the range 10 to 90 degrees two-theta, low angle first:
two_theta	d (Å)	intensity	hkl
12.63	7.010	57	1 0 0
17.76	4.995	27	0 1 1
30.69	2.913	39	0 0 2
31.17	2.869	100	2 1 1
31.49	2.841	40	2 2 0
31.65	2.827	99	0 3 1
44.55	2.034	56	2 2 2
54.86	1.673	19	2 1 3
56.47	1.630	25	2 5 1
62.34	1.490	21	4 3 1



Starting from DFT lattice parameters and positions (GGA-PBE), the X-ray diffraction stick pattern of CaH12S2N2O10 was simulated for Cu Kα X-rays.
Neutral-atom scattering factors, no anomalous dispersion.

Crystal structure
```
data_CaH12S2N2O10
_cell_length_a 11.8232
_cell_length_b 7.5675
_cell_length_c 11.8462
_cell_angle_alpha 90.00
_cell_angle_beta 99.75
_cell_angle_gamma 90.00
_space_group_name_H-M_alt 'C 1 2/c 1'
_space_group_IT_number 15
loop_
_space_group_symop_operation_xyz
'x,y,z'
'-x,-y,-z'
'-x,y,-z+1/2'
'x,-y,z+1/2'
'x+1/2,y+1/2,z'
'-x+1/2,-y+1/2,-z'
'-x+1/2,y+1/2,-z+1/2'
'x+1/2,-y+1/2,z+1/2'
loop_
_atom_site_label
_atom_site_fract_x
_atom_site_fract_y
_atom_site_fract_z
_atom_site_occupancy
Ca1 0.0000 0.0684 0.2500 1
H1 0.0463 0.3065 0.4648 1
H2 0.0737 0.3705 0.0974 1
H3 0.0891 0.1243 0.9872 1
H4 0.1409 0.3038 0.8499 1
H5 0.1706 0.4837 0.3031 1
H6 0.1940 0.0231 0.9457 1
S1 0.1867 0.2987 0.6772 1
N1 0.1396 0.3914 0.7831 1
O1 0.0238 0.2649 0.0856 1
O2 0.1201 0.0818 0.9194 1
O3 0.1256 0.1292 0.6600 1
O4 0.1571 0.4220 0.5785 1
O5 0.1874 0.2305 0.2990 1
```

Principal peaks in the range 10 to 90 degrees two-theta, low angle first:
two_theta	d (Å)	intensity	hkl
13.95	6.347	21	1 1 0
15.19	5.833	79	0 0 2
16.50	5.372	31	1 1 1
19.66	4.515	52	2 0 -2
24.73	3.599	21	0 2 1
25.75	3.460	72	1 1 -3
27.99	3.187	100	3 1 1
30.81	2.903	37	2 2 -2
39.88	2.260	21	1 1 -5
44.19	2.050	23	1 3 3



Starting from DFT lattice parameters and positions (GGA-PBE), the X-ray diffraction stick pattern of Ca5P2HN was simulated for Cu Kα X-rays.
Neutral-atom scattering factors, no anomalous dispersion.

Crystal structure
```
data_Ca5P2HN
_cell_length_a 3.9669
_cell_length_b 16.3814
_cell_length_c 11.5196
_cell_angle_alpha 90.00
_cell_angle_beta 90.00
_cell_angle_gamma 90.00
_space_group_name_H-M_alt 'C m c 21'
_space_group_IT_number 36
loop_
_space_group_symop_operation_xyz
'x,y,z'
'-x,-y,z+1/2'
'-x,y,z'
'x,-y,z+1/2'
'x+1/2,y+1/2,z'
'-x+1/2,-y+1/2,z+1/2'
'-x+1/2,y+1/2,z'
'x+1/2,-y+1/2,z+1/2'
loop_
_atom_site_label
_atom_site_fract_x
_atom_site_fract_y
_atom_site_fract_z
_atom_site_occupancy
Ca1 0.0000 0.9996 0.0000 1
Ca2 0.0000 0.1500 0.2232 1
Ca3 0.0000 0.1938 0.5938 1
Ca4 0.0000 0.2141 0.8751 1
Ca5 0.0000 0.4353 0.2644 1
P1 0.0000 0.3741 0.5224 1
P2 0.0000 0.3903 0.9092 1
H1 0.0000 0.0498 0.6842 1
N1 0.0000 0.2955 0.2294 1
```

Principal peaks in the range 10 to 90 degrees two-theta, low angle first:
two_theta	d (Å)	intensity	hkl
27.84	3.205	13	1 1 2
28.88	3.092	15	1 3 1
31.93	2.802	59	0 4 3
32.93	2.720	100	1 1 3
33.74	2.657	25	0 6 1
35.54	2.526	38	1 5 0
36.43	2.466	10	0 6 2
38.93	2.313	14	1 5 2
45.74	1.984	26	2 0 0
55.66	1.651	17	1 7 4